Entry 1:
The following is a simulated powder diffractogram of NbS2F. It was derived from a structure optimized by DFT (PBE), using Cu Kα X-rays.
Intensities are scaled so that the largest is 100.

Peak list (8 most intense, 10 to 80 degrees two-theta, most intense first)
- hkl 0 1 1, 18.97 deg, intensity 100
- hkl 1 1 2, 28.80 deg, intensity 60
- hkl 1 2 3, 46.60 deg, intensity 50
- hkl 2 1 1, 34.32 deg, intensity 45
- hkl 1 0 1, 16.88 deg, intensity 39
- hkl 0 0 2, 18.65 deg, intensity 36
- hkl 1 1 4, 44.05 deg, intensity 25
- hkl 1 1 3, 35.84 deg, intensity 25

Structural model:
```
16
Lattice="6.301 0.000 0.000 0.000 5.371 0.000 0.000 0.000 9.514" Properties=species:S:1:pos:R:3 pbc="T T T"
Nb 1.575 0.000 0.713
Nb 1.575 2.686 4.043
Nb 4.725 0.000 8.800
Nb 4.725 2.686 5.470
S 0.466 1.328 5.566
S 0.466 1.357 8.704
S 2.684 4.014 8.704
S 2.684 4.043 5.566
S 3.616 1.328 3.947
S 3.616 1.357 0.809
S 5.834 4.014 0.809
S 5.834 4.043 3.947
F 1.096 1.343 2.378
F 2.054 4.028 2.378
F 4.246 1.343 7.135
F 5.205 4.028 7.135
```

---

Entry 2:
The following is a simulated powder diffractogram of LaTb2Ho. It was derived from a structure optimized by DFT (PBE), using Cu Kα X-rays.
Intensities are scaled so that the largest is 100.

Peak list (8 most intense, 10 to 80 degrees two-theta, most intense first)
- hkl 1 2 1, 32.40 deg, intensity 100
- hkl 0 4 0, 30.58 deg, intensity 51
- hkl 0 2 2, 32.58 deg, intensity 50
- hkl 1 1 1, 29.50 deg, intensity 40
- hkl 1 4 3, 60.34 deg, intensity 30
- hkl 1 0 3, 50.66 deg, intensity 25
- hkl 1 3 1, 36.79 deg, intensity 22
- hkl 1 6 1, 55.51 deg, intensity 22

Structural model:
```
8
Lattice="3.628 0.000 0.000 0.000 11.695 0.000 0.000 0.000 6.228" Properties=species:S:1:pos:R:3 pbc="T T T"
La 0.907 2.924 0.529
La 2.721 8.771 5.699
Tb 0.907 0.044 4.658
Tb 0.907 5.803 4.658
Tb 2.721 5.892 1.571
Tb 2.721 11.651 1.571
Ho 0.907 8.771 2.613
Ho 2.721 2.924 3.615
```